Starting from DFT lattice parameters and positions (PBE), the powder diffractogram of SrNb3NO7 was computed for Cu Kα.
Lines closer than 0.1° are merged.

Structural model:
```
data_SrNb3NO7
_cell_length_a 20.8524
_cell_length_b 3.8341
_cell_length_c 9.0062
_cell_angle_alpha 90.00
_cell_angle_beta 90.42
_cell_angle_gamma 90.00
_symmetry_space_group_name_H-M 'C 1 m 1'
_symmetry_Int_Tables_number 8
loop_
_symmetry_equiv_pos_as_xyz
'x,y,z'
'x,-y,z'
'x+1/2,y+1/2,z'
'x+1/2,-y+1/2,z'
loop_
_atom_site_label
_atom_site_fract_x
_atom_site_fract_y
_atom_site_fract_z
Sr1 0.0000 0.0000 0.0000
Sr2 0.0365 0.0000 0.5009
Nb1 0.1457 0.5000 0.8124
Nb2 0.1534 0.5000 0.2066
Nb3 0.2613 0.0000 0.0002
Nb4 0.2853 0.5000 0.5195
Nb5 0.3954 0.0000 0.3132
Nb6 0.3953 0.0000 0.6864
N1 0.3636 0.5000 0.6570
N2 0.4465 0.0000 0.4971
O1 0.0821 0.5000 0.6720
O2 0.0838 0.5000 0.3302
O3 0.0941 0.5000 0.9947
O4 0.1672 0.0000 0.1534
O5 0.1699 0.0000 0.8383
O6 0.2207 0.5000 0.6589
O7 0.2218 0.5000 0.3435
O8 0.2285 0.5000 0.0013
O9 0.3060 0.0000 0.4854
O10 0.3151 0.0000 0.1584
O11 0.3173 0.0000 0.8472
O12 0.3680 0.5000 0.3362
O13 0.4573 0.0000 0.1664
O14 0.4590 0.0000 0.8307
```

Main lines, sorted by position (10 to 90 degrees two-theta):
12.99°, I 61, (2 0 -1); 26.05°, I 95, (4 0 -2); 26.25°, I 97, (4 0 2); 26.55°, I 66, (3 1 0); 28.37°, I 80, (3 1 -1); 30.93°, I 100, (1 1 2)